[1]
Simulated powder diffractogram
Compound: AlAg2Hg2
Radiation: Cu Ka
Structure: the GGA-PBE geometry in Alexandria
No peak broadening, texture or thermal motion is included.

Structural model:
abc: 7.101 7.101 4.176
angles: 90.00 90.00 90.00
Space group P4/mbm (No. 127)
One atom of each set of equivalent atoms:
Al (0.000, 0.000, 0.000)
Ag (0.146, 0.354, 0.000)
Hg (0.159, 0.659, 0.500)

Most intense lines, 15° ≤ 2θ ≤ 90°, in order of rising 2θ:
2θ 17.66, I 18
2θ 25.08, I 10
2θ 35.51, I 100
2θ 40.16, I 21
2θ 43.33, I 13
2θ 51.47, I 7
2θ 54.85, I 10
2θ 57.92, I 13
2θ 60.55, I 12
2θ 72.35, I 8
2θ 74.40, I 12
2θ 75.62, I 15



[2]
Simulated powder diffractogram
Compound: La3SmCo
Radiation: Cu Ka
Structure: the GGA-PBE geometry in Alexandria
No peak broadening, texture or thermal motion is included.

Structural model:
abc: 7.711 6.629 6.394
angles: 90.00 90.00 90.00
Space group Pmn2_1 (No. 31)
One atom of each set of equivalent atoms:
La (0.000, 0.150, 0.000)
La (0.249, 0.669, 0.997)
Sm (0.000, 0.839, 0.496)
Co (0.000, 0.496, 0.245)

Most intense lines, 15° ≤ 2θ ≤ 90°, in order of rising 2θ:
2θ 26.75, I 16
2θ 27.91, I 34
2θ 30.24, I 100
2θ 30.37, I 54
2θ 39.04, I 28
2θ 47.14, I 12
2θ 47.42, I 24
2θ 50.88, I 36
2θ 55.92, I 19
2θ 57.12, I 18
2θ 77.59, I 13
2θ 77.79, I 11



[3]
Simulated powder diffractogram
Compound: SmDy5Cd4
Radiation: Cu Ka
Structure: the GGA-PBE geometry in Alexandria
No peak broadening, texture or thermal motion is included.

Structural model:
abc: 3.697 3.697 20.213
angles: 90.00 90.00 90.00
Space group P4/mmm (No. 123)
One atom of each set of equivalent atoms:
Sm (0.000, 0.000, 0.000)
Dy (0.500, 0.500, 0.122)
Dy (0.500, 0.500, 0.312)
Dy (0.500, 0.500, 0.500)
Cd (0.000, 0.000, 0.217)
Cd (0.000, 0.000, 0.405)

Most intense lines, 15° ≤ 2θ ≤ 90°, in order of rising 2θ:
2θ 29.95, I 7
2θ 32.83, I 100
2θ 34.30, I 54
2θ 36.07, I 11
2θ 49.30, I 19
2θ 57.65, I 10
2θ 60.50, I 34
2θ 61.70, I 7
2θ 68.83, I 6
2θ 72.29, I 6
2θ 81.68, I 8
2θ 82.51, I 9



[4]
Simulated powder diffractogram
Compound: PmB4Os
Radiation: Cu Ka
Structure: the GGA-PBE geometry in Alexandria
No peak broadening, texture or thermal motion is included.

Structural model:
abc: 6.053 11.708 3.619
angles: 90.00 90.00 90.00
Space group Pbam (No. 55)
One atom of each set of equivalent atoms:
Pm (0.127, 0.150, 0.000)
B (0.026, 0.689, 0.500)
B (0.111, 0.546, 0.500)
B (0.139, 0.969, 0.500)
B (0.215, 0.815, 0.500)
Os (0.139, 0.408, 0.000)

Most intense lines, 15° ≤ 2θ ≤ 90°, in order of rising 2θ:
2θ 24.60, I 89
2θ 30.52, I 85
2θ 34.02, I 23
2θ 37.61, I 32
2θ 39.58, I 100
2θ 42.43, I 29
2θ 45.46, I 44
2θ 50.43, I 19
2θ 60.10, I 26
2θ 64.58, I 14
2θ 67.03, I 13
2θ 71.23, I 13



[5]
Simulated powder diffractogram
Compound: Nd2Dy3Sn4
Radiation: Cu Ka
Structure: the GGA-PBE geometry in Alexandria
No peak broadening, texture or thermal motion is included.

Structural model:
abc: 8.347 8.346 8.048
angles: 90.00 110.42 90.00
Space group P2_1/c (No. 14)
One atom of each set of equivalent atoms:
Nd (0.193, 0.178, 0.063)
Dy (0.247, 0.668, 0.241)
Dy (0.500, 0.000, 0.500)
Sn (0.082, 0.539, 0.841)
Sn (0.488, 0.135, 0.864)

Most intense lines, 15° ≤ 2θ ≤ 90°, in order of rising 2θ:
2θ 28.64, I 60
2θ 30.54, I 86
2θ 31.06, I 66
2θ 31.34, I 43
2θ 31.59, I 81
2θ 34.35, I 100
2θ 34.90, I 19
2θ 35.15, I 68
2θ 36.39, I 16
2θ 47.75, I 15
2θ 65.81, I 18
2θ 67.29, I 20



[6]
Simulated powder diffractogram
Compound: Er4Si6Os7
Radiation: Cu Ka
Structure: the GGA-PBE geometry in Alexandria
No peak broadening, texture or thermal motion is included.

Structural model:
abc: 8.218 8.218 8.218
angles: 90.00 90.00 90.00
Space group Im-3m (No. 229)
One atom of each set of equivalent atoms:
Er (0.250, 0.250, 0.250)
Si (0.000, 0.000, 0.314)
Os (0.000, 0.000, 0.000)
Os (0.000, 0.250, 0.500)

Most intense lines, 15° ≤ 2θ ≤ 90°, in order of rising 2θ:
2θ 15.25, I 14
2θ 26.57, I 57
2θ 30.77, I 18
2θ 37.93, I 100
2θ 41.10, I 50
2θ 44.08, I 73
2θ 52.21, I 16
2θ 64.10, I 46
2θ 70.66, I 15
2θ 76.96, I 35
2θ 81.07, I 15
2θ 87.16, I 12